No. 1
The following is a computed XRD peak list of Tm2GePbO6. It was derived from a DFT-relaxed cell (PBE, Alexandria), using Cu Kα (weighted mean of Kα1 and Kα2).
Neutral-atom scattering factors, no anomalous dispersion.

Cell and atoms:
```
Tm2GePbO6
1.0
5.3101 0.0000 0.0000
0.0000 5.3101 0.0000
0.0000 0.0000 5.5258
Tm Ge Pb O
2 1 1 6
Direct
0.0000 0.5000 0.0000
0.5000 0.0000 0.0000
0.0000 0.0000 0.6529
0.5000 0.5000 0.5512
0.0000 0.0000 0.3293
0.2297 0.2297 0.7901
0.2297 0.7703 0.7901
0.5000 0.5000 0.1293
0.7703 0.2297 0.7901
0.7703 0.7703 0.7901
```

Principal peaks in the range 2θ from 10° to 90°, most intense first:
2θ = 28.75°, I 100
2θ = 33.76°, I 34
2θ = 57.35°, I 30
2θ = 47.49°, I 24
2θ = 48.49°, I 18
2θ = 16.04°, I 13
2θ = 32.40°, I 10
2θ = 40.54°, I 10

=====

No. 2
The following is a computed XRD peak list of RbTi3I12. It was derived from a DFT-relaxed cell (PBE, Alexandria), using Cu Kα (weighted mean of Kα1 and Kα2).
Neutral-atom scattering factors, no anomalous dispersion.

Cell and atoms:
```
RbTi3I12
1.0
14.6901 0.0000 0.0000
-7.3450 12.7220 0.0000
0.0000 0.0000 9.8272
Rb Ti I
2 6 24
Direct
0.3333 0.6667 0.2500
0.6667 0.3333 0.7500
0.0992 0.3876 0.7500
0.2883 0.9008 0.7500
0.3876 0.2883 0.2500
0.6124 0.7117 0.7500
0.7117 0.0992 0.2500
0.9008 0.6124 0.2500
0.0118 0.8135 0.2500
0.0185 0.5273 0.2500
0.1865 0.1983 0.2500
0.1983 0.0118 0.7500
0.2178 0.4473 0.5360
0.2178 0.4473 0.9640
0.2295 0.7822 0.5360
0.2295 0.7822 0.9640
0.4473 0.2295 0.0360
0.4473 0.2295 0.4640
0.4727 0.4912 0.2500
0.4912 0.0185 0.7500
0.5088 0.9815 0.2500
0.5273 0.5088 0.7500
0.5527 0.7705 0.5360
0.5527 0.7705 0.9640
0.7705 0.2178 0.0360
0.7705 0.2178 0.4640
0.7822 0.5527 0.0360
0.7822 0.5527 0.4640
0.8017 0.9882 0.2500
0.8135 0.8017 0.7500
0.9815 0.4727 0.7500
0.9882 0.1865 0.7500
```

Principal peaks in the range 2θ from 10° to 90°, most intense first:
2θ = 25.92°, I 100
2θ = 22.86°, I 47
2θ = 28.07°, I 38
2θ = 15.06°, I 36
2θ = 25.24°, I 28
2θ = 46.68°, I 25
2θ = 41.20°, I 23
2θ = 20.95°, I 18

=====

No. 3
The following is a computed XRD peak list of DySi3Au3. It was derived from a DFT-relaxed cell (PBE, Alexandria), using Cu Kα (weighted mean of Kα1 and Kα2).
Neutral-atom scattering factors, no anomalous dispersion.

Cell and atoms:
```
DySi3Au3
1.0
6.8024 0.0000 0.0000
0.0000 6.8024 0.0000
0.0000 0.0000 6.8024
Dy Si Au
2 6 6
Direct
0.0000 0.0000 0.0000
0.5000 0.5000 0.5000
0.0000 0.2500 0.5000
0.0000 0.7500 0.5000
0.2500 0.5000 0.0000
0.5000 0.0000 0.2500
0.5000 0.0000 0.7500
0.7500 0.5000 0.0000
0.0000 0.5000 0.2500
0.0000 0.5000 0.7500
0.2500 0.0000 0.5000
0.5000 0.2500 0.0000
0.5000 0.7500 0.0000
0.7500 0.0000 0.5000
```

Principal peaks in the range 2θ from 10° to 90°, most intense first:
2θ = 32.23°, I 100
2θ = 29.36°, I 96
2θ = 50.18°, I 58
2θ = 26.20°, I 42
2θ = 53.91°, I 28
2θ = 48.24°, I 26
2θ = 62.58°, I 24
2θ = 46.23°, I 22

=====

No. 4
The following is a computed XRD peak list of NaCd2GaTe4. It was derived from a DFT-relaxed cell (PBE, Alexandria), using Cu Kα (weighted mean of Kα1 and Kα2).
Neutral-atom scattering factors, no anomalous dispersion.

Cell and atoms:
```
NaCd2GaTe4
1.0
0.0000 4.8224 6.1426
4.8173 0.0000 6.1426
4.8173 4.8224 0.0000
Na Cd Ga Te
1 2 1 4
Direct
0.0000 0.0000 0.0000
0.2496 0.2496 0.2504
0.7496 0.7496 0.7504
0.4995 0.4995 0.5005
0.1499 0.6032 0.8501
0.3961 0.8488 0.1512
0.6032 0.1499 0.3968
0.8488 0.3961 0.6039
```

Principal peaks in the range 2θ from 10° to 90°, most intense first:
2θ = 23.46°, I 100
2θ = 39.50°, I 47
2θ = 44.55°, I 32
2θ = 37.31°, I 26
2θ = 68.76°, I 14
2θ = 48.29°, I 14
2θ = 62.57°, I 11
2θ = 14.86°, I 9

=====

No. 5
The following is a computed XRD peak list of CsTl6Pb6. It was derived from a DFT-relaxed cell (PBE, Alexandria), using Cu Kα (weighted mean of Kα1 and Kα2).
Neutral-atom scattering factors, no anomalous dispersion.

Cell and atoms:
```
CsTl6Pb6
1.0
3.3878 -5.8572 0.0000
3.3878 5.8572 0.0000
0.0000 0.0000 11.2262
Cs Tl Pb
1 6 6
Direct
0.0000 0.0000 0.0000
0.0000 0.0000 0.3571
0.0000 0.0000 0.6429
0.3316 0.6684 0.5000
0.3345 0.6655 0.0000
0.6655 0.3345 0.0000
0.6684 0.3316 0.5000
0.0000 0.5000 0.2473
0.0000 0.5000 0.7527
0.5000 0.0000 0.2473
0.5000 0.0000 0.7527
0.5000 0.5000 0.2489
0.5000 0.5000 0.7511
```

Principal peaks in the range 2θ from 10° to 90°, most intense first:
2θ = 34.52°, I 100
2θ = 30.85°, I 83
2θ = 30.50°, I 51
2θ = 35.46°, I 40
2θ = 54.20°, I 37
2θ = 26.33°, I 33
2θ = 52.63°, I 26
2θ = 31.89°, I 26

=====

No. 6
The following is a computed XRD peak list of K4Er3ScSe8. It was derived from a DFT-relaxed cell (PBE, Alexandria), using Cu Kα (weighted mean of Kα1 and Kα2).
Neutral-atom scattering factors, no anomalous dispersion.

Cell and atoms:
```
K4Er3ScSe8
1.0
4.1397 2.3901 7.6639
-4.1397 2.3901 7.6639
0.0000 -4.7801 7.6639
K Er Sc Se
4 3 1 8
Direct
0.0000 0.0000 0.0000
0.0000 0.5000 0.5000
0.5000 0.0000 0.5000
0.5000 0.5000 0.0000
0.0000 0.0000 0.5000
0.0000 0.5000 0.0000
0.5000 0.0000 0.0000
0.5000 0.5000 0.5000
0.2350 0.2350 0.2350
0.2420 0.7291 0.7291
0.2709 0.2709 0.7580
0.2709 0.7580 0.2709
0.7291 0.2420 0.7291
0.7291 0.7291 0.2420
0.7580 0.2709 0.2709
0.7650 0.7650 0.7650
```

Principal peaks in the range 2θ from 10° to 90°, most intense first:
2θ = 29.36°, I 100
2θ = 11.55°, I 55
2θ = 43.73°, I 35
2θ = 40.22°, I 33
2θ = 37.12°, I 20
2θ = 53.55°, I 18
2θ = 71.54°, I 15
2θ = 50.55°, I 12

=====

No. 7
The following is a computed XRD peak list of SrMg6ZnCd. It was derived from a DFT-relaxed cell (PBE, Alexandria), using Cu Kα (weighted mean of Kα1 and Kα2).
Neutral-atom scattering factors, no anomalous dispersion.

Cell and atoms:
```
SrMg6ZnCd
1.0
-3.7819 5.0456 6.2864
3.7819 -5.0456 6.2864
3.7819 5.0456 -6.2864
Sr Mg Zn Cd
2 12 2 2
Direct
0.4487 0.1987 0.2500
0.5513 0.8013 0.7500
0.1183 0.4226 0.2925
0.1183 0.8258 0.6957
0.1743 0.9243 0.2500
0.2481 0.4981 0.7500
0.3699 0.1742 0.7925
0.3699 0.5774 0.1957
0.6301 0.4226 0.8043
0.6301 0.8258 0.2075
0.7519 0.5019 0.2500
0.8257 0.0757 0.7500
0.8817 0.1742 0.3043
0.8817 0.5774 0.7075
0.0000 0.0000 0.0000
0.5000 0.0000 0.5000
0.0000 0.0000 0.5000
0.0000 0.5000 0.0000
```

Principal peaks in the range 2θ from 10° to 90°, most intense first:
2θ = 26.14°, I 100
2θ = 22.60°, I 94
2θ = 30.13°, I 69
2θ = 35.59°, I 57
2θ = 33.12°, I 54
2θ = 41.42°, I 42
2θ = 36.46°, I 38
2θ = 13.66°, I 34

=====

No. 8
The following is a computed XRD peak list of Te3Pb4. It was derived from a DFT-relaxed cell (PBE, Alexandria), using Cu Kα (weighted mean of Kα1 and Kα2).
Neutral-atom scattering factors, no anomalous dispersion.

Cell and atoms:
```
Te3Pb4
1.0
2.7462 1.5855 9.4572
-2.7462 1.5855 9.4572
0.0000 -3.1710 9.4572
Te Pb
3 4
Direct
0.0000 0.0000 0.0000
0.2332 0.2332 0.2332
0.7668 0.7668 0.7668
0.1165 0.1165 0.1165
0.3699 0.3699 0.3699
0.6301 0.6301 0.6301
0.8835 0.8835 0.8835
```

Principal peaks in the range 2θ from 10° to 90°, most intense first:
2θ = 32.61°, I 100
2θ = 31.47°, I 86
2θ = 22.51°, I 35
2θ = 57.47°, I 32
2θ = 45.95°, I 31
2θ = 58.19°, I 20
2θ = 43.72°, I 17
2θ = 77.14°, I 14

=====

Copy entry 5 word for word.
The following is a computed XRD peak list of CsTl6Pb6. It was derived from a DFT-relaxed cell (PBE, Alexandria), using Cu Kα (weighted mean of Kα1 and Kα2).
Neutral-atom scattering factors, no anomalous dispersion.

Cell and atoms:
```
CsTl6Pb6
1.0
3.3878 -5.8572 0.0000
3.3878 5.8572 0.0000
0.0000 0.0000 11.2262
Cs Tl Pb
1 6 6
Direct
0.0000 0.0000 0.0000
0.0000 0.0000 0.3571
0.0000 0.0000 0.6429
0.3316 0.6684 0.5000
0.3345 0.6655 0.0000
0.6655 0.3345 0.0000
0.6684 0.3316 0.5000
0.0000 0.5000 0.2473
0.0000 0.5000 0.7527
0.5000 0.0000 0.2473
0.5000 0.0000 0.7527
0.5000 0.5000 0.2489
0.5000 0.5000 0.7511
```

Principal peaks in the range 2θ from 10° to 90°, most intense first:
2θ = 34.52°, I 100
2θ = 30.85°, I 83
2θ = 30.50°, I 51
2θ = 35.46°, I 40
2θ = 54.20°, I 37
2θ = 26.33°, I 33
2θ = 52.63°, I 26
2θ = 31.89°, I 26